(1)
Theoretical XRD peak list
Compound: CdRe3Rh
Radiation: a wavelength of 1.5418 Å
Structure: a crystal structure in Alexandria, relaxed with PBE
No peak broadening, texture or thermal motion is included.

Top 8 peaks for 2θ = 15–90°, sorted by position:
- 18.8 deg, d = 4.720 Å, rel. 36
- 32.9 deg, d = 2.725 Å, rel. 98
- 38.1 deg, d = 2.360 Å, rel. 100
- 42.8 deg, d = 2.111 Å, rel. 18
- 55.0 deg, d = 1.669 Å, rel. 69
- 65.6 deg, d = 1.423 Å, rel. 41
- 68.9 deg, d = 1.363 Å, rel. 23
- 81.6 deg, d = 1.180 Å, rel. 11

Cell and atoms:
Cell lengths 4.720, 4.720, 4.720 Å; angles 90.00, 90.00, 90.00 degrees
Atoms (fractional coordinates):
Cd (0.000, 0.000, 0.000)
Re (0.000, 0.000, 0.500)
Re (0.000, 0.500, 0.000)
Re (0.500, 0.000, 0.000)
Rh (0.500, 0.500, 0.500)

(2)
Theoretical XRD peak list
Compound: Tl2Te2Pb2Se
Radiation: a wavelength of 1.5418 Å
Structure: a crystal structure in Alexandria, relaxed with PBE
No peak broadening, texture or thermal motion is included.

Top 8 peaks for 2θ = 15–90°, sorted by position:
- 24.4 deg, d = 3.653 Å, rel. 76
- 30.3 deg, d = 2.950 Å, rel. 100
- 31.4 deg, d = 2.851 Å, rel. 77
- 44.2 deg, d = 2.051 Å, rel. 39
- 44.8 deg, d = 2.025 Å, rel. 24
- 45.0 deg, d = 2.016 Å, rel. 29
- 51.8 deg, d = 1.765 Å, rel. 21
- 55.2 deg, d = 1.664 Å, rel. 27

Cell and atoms:
Cell lengths 9.525, 9.525, 9.525 Å; angles 145.17, 145.17, 50.09 degrees
Atoms (fractional coordinates):
Tl (0.186, 0.186, 0.000)
Tl (0.814, 0.814, 0.000)
Te (0.381, 0.381, 0.000)
Te (0.619, 0.619, 0.000)
Pb (0.000, 0.500, 0.500)
Pb (0.500, 0.000, 0.500)
Se (0.000, 0.000, 0.000)

(3)
Theoretical XRD peak list
Compound: Nd4YRh2
Radiation: a wavelength of 1.5418 Å
Structure: a crystal structure in Alexandria, relaxed with PBE
No peak broadening, texture or thermal motion is included.

Top 8 peaks for 2θ = 15–90°, sorted by position:
- 29.7 deg, d = 3.008 Å, rel. 59
- 30.0 deg, d = 2.982 Å, rel. 100
- 30.4 deg, d = 2.938 Å, rel. 89
- 31.0 deg, d = 2.887 Å, rel. 78
- 33.5 deg, d = 2.678 Å, rel. 93
- 34.1 deg, d = 2.628 Å, rel. 79
- 35.5 deg, d = 2.530 Å, rel. 80
- 36.6 deg, d = 2.452 Å, rel. 76

Cell and atoms:
Cell lengths 8.059, 6.521, 8.130 Å; angles 90.00, 113.77, 90.00 degrees
Atoms (fractional coordinates):
Nd (0.016, 0.250, 0.379)
Nd (0.251, 0.750, 0.340)
Nd (0.413, 0.004, 0.771)
Nd (0.413, 0.496, 0.771)
Nd (0.587, 0.504, 0.229)
Nd (0.587, 0.996, 0.229)
Nd (0.749, 0.250, 0.660)
Nd (0.984, 0.750, 0.621)
Y (0.154, 0.250, 0.030)
Y (0.846, 0.750, 0.970)
Rh (0.227, 0.750, 0.991)
Rh (0.369, 0.250, 0.408)
Rh (0.631, 0.750, 0.592)
Rh (0.773, 0.250, 0.009)